(1)
Diffraction record for TmSc2UN4. The powder diffractogram is computed, not measured: it uses a crystal structure in Alexandria, relaxed with GGA-PBE and λ = 1.5418 Å (Cu Kα).
Neutral-atom scattering factors, no anomalous dispersion.

Cell and atoms:
```
TmSc2UN4
1.0
-2.3521 2.3521 4.6726
2.3521 -2.3521 4.6726
2.3521 2.3521 -4.6726
Tm Sc U N
1 2 1 4
direct
0.0000 0.0000 0.0000 Tm
0.5000 0.5000 0.0000 Sc
0.7500 0.2500 0.5000 Sc
0.2500 0.7500 0.5000 U
0.0092 0.5092 0.5000 N
0.2550 0.2550 0.0000 N
0.4908 0.9908 0.5000 N
0.7450 0.7450 0.0000 N
```

Principal peaks in the range 2θ = 10–90°, most intense first:
Position (°2θ)	intensity
33.06	100
21.14	77
38.27	53
55.43	35
65.89	29
38.53	26
44.12	25
34.53	23
55.23	18
69.36	17

---

(2)
Diffraction record for ScVN. The powder diffractogram is computed, not measured: it uses a crystal structure in Alexandria, relaxed with GGA-PBE and λ = 1.5418 Å (Cu Kα).
Neutral-atom scattering factors, no anomalous dispersion.

Cell and atoms:
```
ScVN
1.0
3.2147 0.0000 0.0000
0.0000 3.2147 0.0000
0.0000 0.0000 7.7029
Sc V N
2 2 2
direct
0.2500 0.2500 0.1800 Sc
0.7500 0.7500 0.8200 Sc
0.2500 0.7500 0.5000 V
0.7500 0.2500 0.5000 V
0.2500 0.2500 0.6857 N
0.7500 0.7500 0.3143 N
```

Principal peaks in the range 2θ = 10–90°, most intense first:
Position (°2θ)	intensity
11.49	100
46.38	58
41.42	45
36.40	31
34.94	30
57.32	21
30.12	21
68.92	14
55.64	13
74.39	10

---

(3)
Diffraction record for ScV2N. The powder diffractogram is computed, not measured: it uses a crystal structure in Alexandria, relaxed with GGA-PBE and λ = 1.5418 Å (Cu Kα).
Neutral-atom scattering factors, no anomalous dispersion.

Cell and atoms:
```
ScV2N
1.0
-2.9357 2.9357 4.1495
2.9357 -2.9357 4.1495
2.9357 2.9357 -4.1495
Sc V N
2 4 2
direct
0.0000 0.0000 0.0000 Sc
0.7500 0.2500 0.5000 Sc
0.3680 0.1250 0.7430 V
0.3750 0.6320 0.7570 V
0.3820 0.6250 0.2570 V
0.8750 0.6180 0.2430 V
0.2500 0.7500 0.5000 N
0.5000 0.5000 0.0000 N
```

Principal peaks in the range 2θ = 10–90°, most intense first:
Position (°2θ)	intensity
35.88	100
37.53	56
30.45	53
63.38	37
18.51	31
57.70	30
76.05	17
54.12	17
75.02	10
88.04	7

---

(4)
Diffraction record for YScW2N6. The powder diffractogram is computed, not measured: it uses a crystal structure in Alexandria, relaxed with GGA-PBE and λ = 1.5418 Å (Cu Kα).
Neutral-atom scattering factors, no anomalous dispersion.

Cell and atoms:
```
YScW2N6
1.0
5.6867 -4.7774 0.0000
5.6867 4.7774 0.0000
-2.6338 0.0000 5.6578
Y Sc W N
2 2 4 12
direct
0.0962 0.9038 0.7500 Y
0.9038 0.0962 0.2500 Y
0.2698 0.7302 0.2500 Sc
0.7302 0.2698 0.7500 Sc
0.2091 0.3786 0.8156 W
0.3786 0.2091 0.3156 W
0.6214 0.7909 0.6844 W
0.7909 0.6214 0.1844 W
0.0046 0.2208 0.6714 N
0.1307 0.6272 0.8508 N
0.2208 0.0046 0.1714 N
0.3150 0.3955 0.1391 N
0.3728 0.8693 0.6492 N
0.3955 0.3150 0.6391 N
0.6045 0.6850 0.3609 N
0.6272 0.1307 0.3508 N
0.6850 0.6045 0.8609 N
0.7792 0.9954 0.8286 N
0.8693 0.3728 0.1492 N
0.9954 0.7792 0.3286 N
```

Principal peaks in the range 2θ = 10–90°, most intense first:
Position (°2θ)	intensity
25.78	100
27.58	44
31.63	27
24.39	26
35.18	23
35.89	21
17.20	19
49.29	19
41.91	19
33.73	17

---

(5)
Diffraction record for Zr4ScN4. The powder diffractogram is computed, not measured: it uses a crystal structure in Alexandria, relaxed with GGA-PBE and λ = 1.5418 Å (Cu Kα).
Neutral-atom scattering factors, no anomalous dispersion.

Cell and atoms:
```
Zr4ScN4
1.0
4.6086 0.0000 0.0000
2.2970 5.1607 0.0000
2.2999 -0.0013 5.1638
Zr Sc N
4 1 4
direct
0.1112 0.0766 0.2010 Zr
0.3122 0.2991 0.5766 Zr
0.6878 0.7009 0.4234 Zr
0.8888 0.9234 0.7990 Zr
0.5000 0.5000 0.0000 Sc
0.2021 0.6993 0.3966 N
0.4010 0.8974 0.8008 N
0.5990 0.1026 0.1992 N
0.7979 0.3007 0.6034 N
```

Principal peaks in the range 2θ = 10–90°, most intense first:
Position (°2θ)	intensity
33.64	100
39.04	78
56.37	32
67.26	23
56.45	16
67.37	13
17.18	12
70.70	12
83.80	5
24.38	4

---

(6)
Diffraction record for ZrSc3N. The powder diffractogram is computed, not measured: it uses a crystal structure in Alexandria, relaxed with GGA-PBE and λ = 1.5418 Å (Cu Kα).
Neutral-atom scattering factors, no anomalous dispersion.

Cell and atoms:
```
ZrSc3N
1.0
6.4227 0.0000 0.0000
0.0000 5.8032 0.0000
0.0000 0.0000 5.2454
Zr Sc N
2 6 2
direct
0.0000 0.1780 0.0000 Zr
0.5000 0.8220 0.5000 Zr
0.0000 0.8190 0.4694 Sc
0.2487 0.6490 0.9918 Sc
0.2513 0.3510 0.4918 Sc
0.5000 0.1810 0.9694 Sc
0.7487 0.3510 0.4918 Sc
0.7513 0.6490 0.9918 Sc
0.0000 0.4931 0.2354 N
0.5000 0.5069 0.7354 N
```

Principal peaks in the range 2θ = 10–90°, most intense first:
Position (°2θ)	intensity
36.27	100
35.35	52
34.19	35
62.57	19
55.45	19
31.85	18
47.42	18
66.78	16
21.88	15
69.23	13

---

(7)
Diffraction record for Sm4Se2N. The powder diffractogram is computed, not measured: it uses a crystal structure in Alexandria, relaxed with GGA-PBE and λ = 1.5418 Å (Cu Kα).
Neutral-atom scattering factors, no anomalous dispersion.

Cell and atoms:
```
Sm4Se2N
1.0
-2.3551 2.3551 7.6678
2.3551 -2.3551 7.6678
2.3551 2.3551 -7.6678
Sm Se N
4 2 1
direct
0.0000 0.5000 0.5000 Sm
0.1698 0.1698 0.0000 Sm
0.5000 0.0000 0.5000 Sm
0.8302 0.8302 0.0000 Sm
0.3644 0.3644 0.0000 Se
0.6356 0.6356 0.0000 Se
0.0000 0.0000 0.0000 N
```

Principal peaks in the range 2θ = 10–90°, most intense first:
Position (°2θ)	intensity
29.23	100
35.71	87
38.21	67
52.86	40
35.11	32
67.46	28
55.15	23
63.64	22
67.08	19
34.91	19

---

(8)
Diffraction record for SnSe2N. The powder diffractogram is computed, not measured: it uses a crystal structure in Alexandria, relaxed with GGA-PBE and λ = 1.5418 Å (Cu Kα).
Neutral-atom scattering factors, no anomalous dispersion.

Cell and atoms:
```
SnSe2N
1.0
3.6884 0.0000 0.0000
-0.0010 5.8298 0.0000
-1.8399 -0.5393 8.8913
Sn Se N
2 4 2
direct
0.1873 0.2295 0.3754 Sn
0.8127 0.7705 0.6246 Sn
0.1971 0.7411 0.3932 Se
0.4817 0.7910 0.9639 Se
0.5183 0.2090 0.0361 Se
0.8029 0.2589 0.6068 Se
0.3813 0.7737 0.7623 N
0.6187 0.2263 0.2377 N
```

Principal peaks in the range 2θ = 10–90°, most intense first:
Position (°2θ)	intensity
28.50	100
30.73	53
43.11	38
41.69	24
30.15	23
59.31	19
35.05	18
17.70	17
49.42	15
43.24	15

---

(9)
Diffraction record for Sr5Se4N. The powder diffractogram is computed, not measured: it uses a crystal structure in Alexandria, relaxed with GGA-PBE and λ = 1.5418 Å (Cu Kα).
Neutral-atom scattering factors, no anomalous dispersion.

Cell and atoms:
```
Sr5Se4N
1.0
-4.8433 4.8433 3.1409
4.8433 -4.8433 3.1409
4.8433 4.8433 -3.1409
Sr Se N
5 4 1
direct
0.0000 0.0000 0.0000 Sr
0.2904 0.6639 0.8105 Sr
0.4799 0.2904 0.6265 Sr
0.6639 0.8534 0.3735 Sr
0.8534 0.4799 0.1895 Sr
0.1698 0.3728 0.3929 Se
0.3728 0.9799 0.2029 Se
0.7770 0.1698 0.7971 Se
0.9799 0.7770 0.6071 Se
0.6143 0.6143 0.0000 N
```

Principal peaks in the range 2θ = 10–90°, most intense first:
Position (°2θ)	intensity
29.15	100
41.16	73
28.42	49
41.70	34
51.23	34
75.75	19
66.96	15
68.49	14
68.11	13
60.45	12

---

(10)
Diffraction record for TbThSeN. The powder diffractogram is computed, not measured: it uses a crystal structure in Alexandria, relaxed with GGA-PBE and λ = 1.5418 Å (Cu Kα).
Neutral-atom scattering factors, no anomalous dispersion.

Cell and atoms:
```
TbThSeN
1.0
4.2437 0.0000 0.0000
0.0000 4.2437 0.0000
0.0000 0.0000 9.8117
Tb Th Se N
2 2 2 2
direct
0.2500 0.7500 0.0000 Tb
0.7500 0.2500 0.0000 Tb
0.2500 0.2500 0.3892 Th
0.7500 0.7500 0.6108 Th
0.2500 0.2500 0.7867 Se
0.7500 0.7500 0.2133 Se
0.2500 0.7500 0.5000 N
0.7500 0.2500 0.5000 N
```

Principal peaks in the range 2θ = 10–90°, most intense first:
Position (°2θ)	intensity
31.17	100
27.80	99
34.63	56
42.61	55
47.90	39
51.64	37
35.05	35
56.02	33
64.70	27
70.86	26

---

(11)
Diffraction record for TeSeN2. The powder diffractogram is computed, not measured: it uses a crystal structure in Alexandria, relaxed with GGA-PBE and λ = 1.5418 Å (Cu Kα).
Neutral-atom scattering factors, no anomalous dispersion.

Cell and atoms:
```
TeSeN2
1.0
3.8862 0.0000 0.0000
-0.0014 3.9002 0.0000
-0.8840 -1.1664 8.8724
Te Se N
1 1 2
direct
0.0000 0.0000 0.0000 Te
0.5256 0.5247 0.9066 Se
0.4236 0.8818 0.4965 N
0.5601 0.7271 0.4078 N
```

Principal peaks in the range 2θ = 10–90°, most intense first:
Position (°2θ)	intensity
20.02	100
32.93	55
32.53	29
33.88	29
28.58	27
34.32	26
36.11	24
47.00	22
36.37	16
24.18	16

---

(12)
Diffraction record for Th4Se5N. The powder diffractogram is computed, not measured: it uses a crystal structure in Alexandria, relaxed with GGA-PBE and λ = 1.5418 Å (Cu Kα).
Neutral-atom scattering factors, no anomalous dispersion.

Cell and atoms:
```
Th4Se5N
1.0
8.9036 -2.0367 0.0000
8.9036 2.0367 0.0000
-1.8772 0.0000 7.7245
Th Se N
4 5 1
direct
0.0017 0.0017 0.2765 Th
0.3464 0.3464 0.4143 Th
0.6536 0.6536 0.5857 Th
0.9983 0.9983 0.7235 Th
0.1646 0.1646 0.8463 Se
0.1722 0.1722 0.3272 Se
0.5000 0.5000 0.0000 Se
0.8278 0.8278 0.6728 Se
0.8354 0.8354 0.1537 Se
0.5000 0.5000 0.5000 N
```

Principal peaks in the range 2θ = 10–90°, most intense first:
Position (°2θ)	intensity
31.45	100
44.51	56
31.01	50
11.46	44
44.97	35
30.67	22
55.21	20
26.79	19
27.71	19
10.22	19

---

Question: What is the formula in the third record?
Answer: ScV2N